# 1
The following is a simulated X-ray powder pattern of PmPr2ErP4. It was derived from a PBE-relaxed structure, using Cu Kα.

Most intense lines, 15 to 90 degrees two-theta, in order of rising 2θ:
2θ (°)	I (rel.)
26.44	82
30.62	100
43.85	73
51.94	41
54.43	26
63.75	12
70.27	16
72.38	33
80.60	25
86.63	13

Structure:
Cell: 7.1484 4.1316 7.1496 Å, 90.00 109.46 90.00°
Atoms (fractional coordinates):
Pm  0.0000  0.0000  0.0000
Pr  0.5000  0.0000  0.5000
Pr  0.5000  0.5000  0.0000
Er  0.0000  0.5000  0.5000
P  0.2393  0.0000  0.7421
P  0.2424  0.5000  0.2519
P  0.7576  0.5000  0.7481
P  0.7607  0.0000  0.2579

# 2
The following is a simulated X-ray powder pattern of PmEr2PuP4. It was derived from a PBE-relaxed structure, using Cu Kα.

Most intense lines, 15 to 90 degrees two-theta, in order of rising 2θ:
2θ (°)	I (rel.)
27.19	71
27.27	23
31.52	100
45.12	37
45.23	37
53.48	19
53.58	27
56.07	19
65.80	12
74.75	11
74.87	17
83.41	11

Structure:
Cell: 6.9381 4.0237 6.9528 Å, 90.00 109.52 90.00°
Atoms (fractional coordinates):
Pm  0.0000  0.0000  0.0000
Er  0.5000  0.0000  0.5000
Er  0.5000  0.5000  0.0000
Pu  0.0000  0.5000  0.5000
P  0.2519  0.0000  0.7451
P  0.2561  0.5000  0.2576
P  0.7439  0.5000  0.7424
P  0.7481  0.0000  0.2549

# 3
The following is a simulated X-ray powder pattern of Pm2ErZrP4. It was derived from a PBE-relaxed structure, using Cu Kα.

Most intense lines, 15 to 90 degrees two-theta, in order of rising 2θ:
2θ (°)	I (rel.)
27.39	39
27.47	39
31.77	100
45.42	12
45.57	48
45.63	12
53.92	16
54.05	22
56.70	12
75.45	10
75.58	16
84.34	14

Structure:
Cell: 6.8907 3.9764 6.9076 Å, 90.00 109.26 90.00°
Atoms (fractional coordinates):
Pm  0.0000  0.0000  0.0000
Pm  0.5000  0.5000  0.0000
Er  0.0000  0.5000  0.5000
Zr  0.5000  0.0000  0.5000
P  0.2518  0.0000  0.7344
P  0.2626  0.5000  0.2693
P  0.7374  0.5000  0.7307
P  0.7482  0.0000  0.2656

# 4
The following is a simulated X-ray powder pattern of PrEr2P3. It was derived from a PBE-relaxed structure, using Cu Kα.

Most intense lines, 15 to 90 degrees two-theta, in order of rising 2θ:
2θ (°)	I (rel.)
26.95	86
31.22	100
44.74	73
52.98	28
53.05	14
55.56	26
65.18	8
71.80	14
73.89	11
74.04	22
82.39	8
82.51	16

Structure:
Cell: 7.0124 7.0124 7.0124 Å, 146.43 131.69 60.11°
Atoms (fractional coordinates):
Pr  0.0000  0.0000  0.0000
Er  0.3342  0.3342  0.0000
Er  0.6658  0.6658  0.0000
P  0.1742  0.6742  0.5000
P  0.5000  0.0000  0.5000
P  0.8258  0.3258  0.5000

# 5
The following is a simulated X-ray powder pattern of PrEr3Th2P6. It was derived from a PBE-relaxed structure, using Cu Kα.

Most intense lines, 15 to 90 degrees two-theta, in order of rising 2θ:
2θ (°)	I (rel.)
26.81	72
26.97	24
31.10	100
44.46	37
44.67	37
52.71	20
52.78	16
55.25	20
64.85	12
73.51	17
73.82	17
82.02	13

Structure:
Cell: 9.0808 9.0808 8.1133 Å, 102.58 102.58 25.95°
Atoms (fractional coordinates):
Pr  0.0000  0.0000  0.0000
Er  0.0000  0.0000  0.5000
Er  0.3346  0.3346  0.1666
Er  0.6654  0.6654  0.8334
Th  0.3343  0.3343  0.6689
Th  0.6657  0.6657  0.3311
P  0.1649  0.1649  0.5880
P  0.1703  0.1703  0.0791
P  0.4984  0.4984  0.2596
P  0.5016  0.5016  0.7404
P  0.8297  0.8297  0.9209
P  0.8351  0.8351  0.4120

# 6
The following is a simulated X-ray powder pattern of ErPPt5. It was derived from a PBE-relaxed structure, using Cu Kα.

Most intense lines, 15 to 90 degrees two-theta, in order of rising 2θ:
2θ (°)	I (rel.)
31.33	14
33.85	48
38.06	25
40.57	100
44.90	48
60.28	26
65.38	16
70.71	8
74.72	20
75.69	10
78.23	13
79.84	29

Structure:
Cell: 4.0375 4.0375 7.0929 Å, 90.00 90.00 90.00°
Atoms (fractional coordinates):
Er  0.0000  0.0000  0.0000
P  0.5000  0.5000  0.5000
Pt  0.0000  0.5000  0.2979
Pt  0.0000  0.5000  0.7021
Pt  0.5000  0.0000  0.2979
Pt  0.5000  0.0000  0.7021
Pt  0.5000  0.5000  0.0000